The following is a simulated powder XRD pattern of Tm2NpS4. It was derived from DFT lattice parameters and positions (PBE), using Cu Kα X-rays.

Largest 10 diffraction maxima, by angle, 10° ≤ 2θ ≤ 80°:
2θ 20.38, I 32, hkl 0 2 0; 2θ 25.16, I 100, hkl 1 2 1; 2θ 25.56, I 22, hkl 2 1 1; 2θ 29.44, I 25, hkl 2 0 2; 2θ 33.43, I 47, hkl 3 1 0; 2θ 38.75, I 54, hkl 1 2 3; 2θ 39.02, I 25, hkl 2 3 1; 2θ 41.45, I 32, hkl 0 4 0; 2θ 52.52, I 28, hkl 4 2 2; 2θ 54.26, I 18, hkl 3 1 4

Cell and atoms:
```
data_Tm2NpS4
_cell_length_a 8.452
_cell_length_b 8.707
_cell_length_c 8.722
_cell_angle_alpha 90.00
_cell_angle_beta 90.00
_cell_angle_gamma 90.00
_symmetry_space_group_name_H-M 'I 21 21 21'
_symmetry_Int_Tables_number 24
loop_
_symmetry_equiv_pos_as_xyz
'x,y,z'
'-x,-y+1/2,z'
'x,-y,-z+1/2'
'-x,y+1/2,-z+1/2'
'x+1/2,y+1/2,z+1/2'
'-x+1/2,-y,z+1/2'
'x+1/2,-y+1/2,-z'
'-x+1/2,y,-z'
loop_
_atom_site_label
_atom_site_type_symbol
_atom_site_fract_x
_atom_site_fract_y
_atom_site_fract_z
Tm1 Tm 0.000 0.250 0.249
Tm2 Tm 0.250 0.001 0.500
Np1 Np 0.124 0.500 0.750
S1 S 0.058 0.499 0.437
S2 S 0.192 0.186 0.750
```

The following is a simulated powder XRD pattern of KLi2AgF6. It was derived from DFT lattice parameters and positions (PBE), using Cu Kα X-rays.

Largest 10 diffraction maxima, by angle, 10° ≤ 2θ ≤ 80°:
2θ 16.89, I 100, hkl 1 1 -1; 2θ 17.17, I 29, hkl 0 2 0; 2θ 18.46, I 78, hkl 2 0 0; 2θ 20.78, I 30, hkl 1 1 1; 2θ 25.31, I 51, hkl 2 2 0; 2θ 26.38, I 31, hkl 2 2 -1; 2θ 28.41, I 47, hkl 0 0 2; 2θ 38.11, I 40, hkl 3 3 -1; 2θ 38.36, I 22, hkl 2 0 2; 2θ 44.88, I 20, hkl 1 5 0

Cell and atoms:
```
data_KLi2AgF6
_cell_length_a 10.011
_cell_length_b 10.328
_cell_length_c 6.543
_cell_angle_alpha 90.00
_cell_angle_beta 106.19
_cell_angle_gamma 90.00
_symmetry_space_group_name_H-M 'C 1 2/c 1'
_symmetry_Int_Tables_number 15
loop_
_symmetry_equiv_pos_as_xyz
'x,y,z'
'-x,-y,-z'
'-x,y,-z+1/2'
'x,-y,z+1/2'
'x+1/2,y+1/2,z'
'-x+1/2,-y+1/2,-z'
'-x+1/2,y+1/2,-z+1/2'
'x+1/2,-y+1/2,z+1/2'
loop_
_atom_site_label
_atom_site_type_symbol
_atom_site_fract_x
_atom_site_fract_y
_atom_site_fract_z
K1 K 0.000 0.096 0.250
Li1 Li 0.187 0.430 0.116
Ag1 Ag 0.000 0.284 0.750
F1 F 0.060 0.296 0.079
F2 F 0.134 0.125 0.724
F3 F 0.160 0.433 0.798
```

The following is a simulated powder XRD pattern of Ti3PtN. It was derived from DFT lattice parameters and positions (PBE), using Cu Kα X-rays.

Largest 10 diffraction maxima, by angle, 10° ≤ 2θ ≤ 80°:
2θ 10.89, I 45, hkl 0 0 1; 2θ 21.95, I 16, hkl 0 1 0; 2θ 24.56, I 20, hkl 0 1 1; 2θ 30.68, I 22, hkl 1 0 2; 2θ 32.69, I 16, hkl 1 1 1; 2θ 38.04, I 100, hkl 1 1 2; 2θ 43.24, I 20, hkl 2 0 0; 2θ 44.63, I 18, hkl 0 0 4; 2θ 44.75, I 22, hkl 0 2 0; 2θ 65.07, I 13, hkl 0 2 4

Cell and atoms:
```
data_Ti3PtN
_cell_length_a 4.185
_cell_length_b 4.050
_cell_length_c 8.122
_cell_angle_alpha 90.00
_cell_angle_beta 90.00
_cell_angle_gamma 90.00
_symmetry_space_group_name_H-M 'P m m a'
_symmetry_Int_Tables_number 51
loop_
_symmetry_equiv_pos_as_xyz
'x,y,z'
'-x,-y,-z'
'-x+1/2,-y,z'
'x+1/2,y,-z'
'x+1/2,-y,-z'
'-x+1/2,y,z'
'-x,y,-z'
'x,-y,z'
loop_
_atom_site_label
_atom_site_type_symbol
_atom_site_fract_x
_atom_site_fract_y
_atom_site_fract_z
Ti1 Ti 0.250 0.000 0.110
Ti2 Ti 0.250 0.000 0.623
Ti3 Ti 0.250 0.500 0.360
Pt1 Pt 0.250 0.500 0.879
N1 N 0.250 0.000 0.362
```

The following is a simulated powder XRD pattern of Tb3Pt5. It was derived from DFT lattice parameters and positions (PBE), using Cu Kα X-rays.

Largest 10 diffraction maxima, by angle, 10° ≤ 2θ ≤ 80°:
2θ 36.75, I 100, hkl 2 2 1; 2θ 37.09, I 29, hkl 0 0 2; 2θ 37.24, I 8, hkl 1 3 1; 2θ 39.87, I 18, hkl 0 4 0; 2θ 50.23, I 9, hkl 4 0 0; 2θ 55.59, I 14, hkl 0 4 2; 2θ 64.07, I 8, hkl 4 0 2; 2θ 66.64, I 18, hkl 2 2 3; 2θ 70.35, I 9, hkl 2 6 1; 2θ 78.18, I 7, hkl 4 4 2

Cell and atoms:
```
data_Tb3Pt5
_cell_length_a 7.265
_cell_length_b 9.044
_cell_length_c 4.848
_cell_angle_alpha 90.00
_cell_angle_beta 90.00
_cell_angle_gamma 90.00
_symmetry_space_group_name_H-M 'C m m m'
_symmetry_Int_Tables_number 65
_symmetry_space_group_name_Hall '-C 2 2'
loop_
_atom_site_label
_atom_site_type_symbol
_atom_site_fract_x
_atom_site_fract_y
_atom_site_fract_z
Tb1 Tb 0.000 0.000 0.000
Tb2 Tb 0.000 0.294 0.500
Pt1 Pt 0.000 0.500 0.000
Pt2 Pt 0.204 0.000 0.500
Pt3 Pt 0.250 0.250 0.000
```

The following is a simulated powder XRD pattern of Na5Si6O18. It was derived from DFT lattice parameters and positions (PBE), using Cu Kα X-rays.

Largest 10 diffraction maxima, by angle, 10° ≤ 2θ ≤ 80°:
2θ 12.69, I 64, hkl 0 1 0; 2θ 13.45, I 30, hkl 1 0 1; 2θ 13.94, I 100, hkl 1 0 0; 2θ 17.75, I 48, hkl 0 1 1; 2θ 20.40, I 39, hkl 0 0 2; 2θ 21.66, I 77, hkl 1 1 2; 2θ 24.70, I 56, hkl 1 -1 2; 2θ 25.09, I 64, hkl 1 2 -1; 2θ 25.58, I 59, hkl 2 1 2; 2θ 26.12, I 32, hkl 0 1 2

Cell and atoms:
```
data_Na5Si6O18
_cell_length_a 7.785
_cell_length_b 7.936
_cell_length_c 9.559
_cell_angle_alpha 89.71
_cell_angle_beta 68.20
_cell_angle_gamma 63.62
_symmetry_space_group_name_H-M 'P -1'
_symmetry_Int_Tables_number 2
loop_
_symmetry_equiv_pos_as_xyz
'x,y,z'
'-x,-y,-z'
loop_
_atom_site_label
_atom_site_type_symbol
_atom_site_fract_x
_atom_site_fract_y
_atom_site_fract_z
Na1 Na 0.000 0.000 0.000
Na2 Na 0.205 0.474 0.034
Na3 Na 0.336 0.738 0.497
Si1 Si 0.240 0.115 0.244
Si2 Si 0.346 0.130 0.728
Si3 Si 0.465 0.722 0.781
O1 O 0.011 0.182 0.381
O2 O 0.153 0.316 0.855
O3 O 0.183 0.081 0.103
O4 O 0.315 0.937 0.756
O5 O 0.323 0.278 0.216
O6 O 0.331 0.678 0.938
O7 O 0.359 0.189 0.563
O8 O 0.426 0.920 0.263
O9 O 0.488 0.445 0.345
```

The following is a simulated powder XRD pattern of Li3Cd2Pt3. It was derived from DFT lattice parameters and positions (PBE), using Cu Kα X-rays.

Largest 10 diffraction maxima, by angle, 10° ≤ 2θ ≤ 80°:
2θ 17.42, I 11, hkl 1 0 1; 2θ 23.79, I 100, hkl 1 1 0; 2θ 35.25, I 11, hkl 2 0 2; 2θ 40.77, I 100, hkl 1 1 3; 2θ 41.84, I 61, hkl 3 0 0; 2θ 48.69, I 14, hkl 2 2 0; 2θ 54.03, I 12, hkl 3 0 3; 2θ 59.84, I 29, hkl 2 2 3; 2θ 73.47, I 10, hkl 1 1 6; 2θ 75.67, I 28, hkl 4 1 3

Cell and atoms:
```
data_Li3Cd2Pt3
_cell_length_a 7.4799
_cell_length_b 7.4799
_cell_length_c 8.2379
_cell_angle_alpha 90.00
_cell_angle_beta 90.00
_cell_angle_gamma 120.00
_symmetry_space_group_name_H-M 'R 3 2'
_symmetry_Int_Tables_number 155
_symmetry_space_group_name_Hall 'R 3 2"'
loop_
_atom_site_label
_atom_site_type_symbol
_atom_site_fract_x
_atom_site_fract_y
_atom_site_fract_z
Li1 Li 0.0000 0.2531 0.0000
Cd1 Cd 0.0000 0.0000 0.3024
Pt1 Pt 0.0000 0.6867 0.5000
```

The following is a simulated powder XRD pattern of K3In4Ga2. It was derived from DFT lattice parameters and positions (PBE), using Cu Kα X-rays.

Largest 10 diffraction maxima, by angle, 10° ≤ 2θ ≤ 80°:
2θ 11.16, I 100, hkl 2 0 0; 2θ 18.90, I 26, hkl 3 1 -1; 2θ 27.52, I 24, hkl 4 2 -1; 2θ 28.55, I 19, hkl 4 2 0; 2θ 29.53, I 43, hkl 5 1 0; 2θ 30.79, I 43, hkl 1 3 1; 2θ 31.32, I 22, hkl 3 3 -1; 2θ 31.84, I 36, hkl 2 0 2; 2θ 40.25, I 22, hkl 2 2 -3; 2θ 40.86, I 19, hkl 4 2 -3

Cell and atoms:
```
data_K3In4Ga2
_cell_length_a 17.161
_cell_length_b 10.175
_cell_length_c 7.525
_cell_angle_alpha 90.00
_cell_angle_beta 112.54
_cell_angle_gamma 90.00
_symmetry_space_group_name_H-M 'C 1 2/c 1'
_symmetry_Int_Tables_number 15
loop_
_symmetry_equiv_pos_as_xyz
'x,y,z'
'-x,-y,-z'
'-x,y,-z+1/2'
'x,-y,z+1/2'
'x+1/2,y+1/2,z'
'-x+1/2,-y+1/2,-z'
'-x+1/2,y+1/2,-z+1/2'
'x+1/2,-y+1/2,z+1/2'
loop_
_atom_site_label
_atom_site_type_symbol
_atom_site_fract_x
_atom_site_fract_y
_atom_site_fract_z
K1 K 0.000 0.016 0.250
K2 K 0.104 0.386 0.116
In1 In 0.129 0.244 0.637
In2 In 0.215 0.113 0.043
Ga1 Ga 0.223 0.135 0.416
```

The following is a simulated powder XRD pattern of Zn15Cu. It was derived from DFT lattice parameters and positions (PBE), using Cu Kα X-rays.

Largest 6 diffraction maxima, by angle, 10° ≤ 2θ ≤ 80°:
2θ 38.12, I 32, hkl 0 0 4; 2θ 38.74, I 23, hkl 2 0 0; 2θ 43.39, I 100, hkl 2 0 2; 2θ 55.48, I 15, hkl 2 0 4; 2θ 70.12, I 15, hkl 2 2 0; 2θ 72.53, I 19, hkl 2 0 6

Cell and atoms:
```
data_Zn15Cu
_cell_length_a 5.3684
_cell_length_b 5.3684
_cell_length_c 9.4429
_cell_angle_alpha 90.00
_cell_angle_beta 90.00
_cell_angle_gamma 120.00
_symmetry_space_group_name_H-M 'P -6 m 2'
_symmetry_Int_Tables_number 187
_symmetry_space_group_name_Hall 'P -6 2'
loop_
_atom_site_label
_atom_site_type_symbol
_atom_site_fract_x
_atom_site_fract_y
_atom_site_fract_z
Zn1 Zn 0.0000 0.0000 0.0000
Zn2 Zn 0.0021 0.5011 0.5000
Zn3 Zn 0.3313 0.1657 0.2572
Zn4 Zn 0.3333 0.6667 0.2467
Zn5 Zn 0.5012 0.0023 0.0000
Cu1 Cu 0.0000 0.0000 0.5000
```